Calculated XRD peak list of PrNd12Cd6 for Cu Kα, 1.54184 Å, from a PBE-relaxed structure.

Crystal structure
```
data_PrNd12Cd6
_cell_length_a 11.6436
_cell_length_b 11.6436
_cell_length_c 14.9826
_cell_angle_alpha 90.00
_cell_angle_beta 90.00
_cell_angle_gamma 120.00
_symmetry_space_group_name_H-M 'R -3'
_symmetry_Int_Tables_number 148
_symmetry_space_group_name_Hall '-R 3'
loop_
_atom_site_label
_atom_site_type_symbol
_atom_site_fract_x
_atom_site_fract_y
_atom_site_fract_z
Pr1 Pr 0.0000 0.0000 0.0000
Nd1 Nd 0.0413 0.1910 0.8044
Nd2 Nd 0.0573 0.8391 0.4106
Cd1 Cd 0.0311 0.4402 0.7061
```

The 10 most intense peaks (2θ from 5° to 70°), by angle:
2θ/deg	d (Å)	intensity	h k l
24.09	3.694	22.6	2 1 1
31.14	2.872	60.1	0 1 5
32.10	2.788	58.2	0 3 3
32.57	2.749	100.0	1 3 1
33.55	2.671	73.6	3 -1 4
34.22	2.620	57.4	4 -1 2
35.70	2.515	15.2	2 2 3
49.35	1.847	15.2	6 -2 2
55.68	1.651	16.3	5 -4 6
60.24	1.536	21.0	5 2 3